# AcRh2WO8
Computed powder X-ray diffraction pattern, copper Kα. Input: a DFT-relaxed cell (GGA+U, Alexandria).

Structure:
a = 6.058 Å, b = 6.058 Å, c = 6.058 Å
α = 107.92°, β = 107.92°, γ = 112.62°
Fractional positions:
Ac 0.000 0.000 0.000
Rh 0.500 0.500 0.000
Rh 0.750 0.250 0.500
W 0.250 0.750 0.500
O 0.311 0.094 0.784
O 0.311 0.527 0.216
O 0.360 0.017 0.343
O 0.473 0.689 0.784
O 0.674 0.017 0.657
O 0.906 0.689 0.216
O 0.983 0.326 0.343
O 0.983 0.640 0.657

Top 10 peaks for 10 to 80 degrees two-theta, low angle first:
4.890 Å, intensity 22
3.564 Å, intensity 100
2.796 Å, intensity 84
2.520 Å, intensity 27
1.872 Å, intensity 66
1.782 Å, intensity 16
1.594 Å, intensity 16
1.520 Å, intensity 16
1.503 Å, intensity 19
1.291 Å, intensity 16